Record 1
Diffraction record for RbDyO2. The PXRD pattern is calculated, not measured: it uses a structure optimized by DFT (PBE) and Cu Kα (λ = 1.5418 Å).

The 12 most intense peaks (10° ≤ 2θ ≤ 80°), by angle:
2θ (°)  d_spacing  Rel. int.
13.49  6.563  34
27.17  3.282  43
30.76  2.907  84
34.66  2.588  100
47.52  1.913  36
52.07  1.756  32
55.60  1.653  21
59.71  1.549  29
61.71  1.503  12
64.07  1.453  16
73.14  1.294  10
74.30  1.277  10

Structural model:
```
data_RbDyO2
_space_group_name_H-M_alt 'R -3 m'
_space_group_IT_number 166
_space_group_name_Hall '-R 3 2"'
_cell_length_a 3.5128
_cell_length_b 3.5128
_cell_length_c 19.6902
_cell_angle_alpha 90.00
_cell_angle_beta 90.00
_cell_angle_gamma 120.00
loop_
_atom_site_label
_atom_site_type_symbol
_atom_site_fract_x
_atom_site_fract_y
_atom_site_fract_z
Rb1 Rb 0.0000 0.0000 0.0000
Dy1 Dy 0.0000 0.0000 0.5000
O1 O 0.0000 0.0000 0.2250
```

=====

Record 2
Diffraction record for RbDyS2O8. The PXRD pattern is calculated, not measured: it uses a structure optimized by DFT (PBE) and Cu Kα (λ = 1.5418 Å).

The 12 most intense peaks (10° ≤ 2θ ≤ 80°), by angle:
2θ (°)  d_spacing  Rel. int.
13.06  6.778  100
22.73  3.913  73
23.13  3.846  100
25.81  3.452  28
27.12  3.288  30
27.46  3.248  69
32.65  2.743  97
33.50  2.675  25
42.40  2.132  53
44.33  2.044  23
44.55  2.034  28
55.38  1.659  26

Structural model:
```
data_RbDyS2O8
_space_group_name_H-M_alt 'P n n a'
_space_group_IT_number 52
_space_group_name_Hall '-P 2a 2bc'
_cell_length_a 9.5840
_cell_length_b 13.5557
_cell_length_c 5.3494
_cell_angle_alpha 90.00
_cell_angle_beta 90.00
_cell_angle_gamma 90.00
loop_
_atom_site_label
_atom_site_type_symbol
_atom_site_fract_x
_atom_site_fract_y
_atom_site_fract_z
Rb1 Rb 0.0777 0.2500 0.2500
Dy1 Dy 0.2500 0.0000 0.6729
S1 S 0.0865 0.5829 0.2640
O1 O 0.0641 0.1097 0.7813
O2 O 0.1025 0.0223 0.3145
O3 O 0.1525 0.5996 0.5125
O4 O 0.1574 0.6424 0.0652
```

=====

Record 3
Diffraction record for Dy5Re2O12. The PXRD pattern is calculated, not measured: it uses a structure optimized by DFT (PBE) and Cu Kα (λ = 1.5418 Å).

The 12 most intense peaks (10° ≤ 2θ ≤ 80°), by angle:
2θ (°)  d_spacing  Rel. int.
24.68  3.607  20
27.45  3.249  97
28.33  3.150  100
30.09  2.970  19
32.68  2.740  38
32.78  2.732  38
33.92  2.643  23
35.01  2.563  21
40.42  2.232  28
45.83  1.980  21
46.06  1.971  16
48.08  1.893  25

Structural model:
```
data_Dy5Re2O12
_space_group_name_H-M_alt 'P 1 21/m 1'
_space_group_IT_number 11
_space_group_name_Hall '-P 2yb'
_cell_length_a 7.5701
_cell_length_b 5.6817
_cell_length_c 12.4575
_cell_angle_alpha 90.00
_cell_angle_beta 107.52
_cell_angle_gamma 90.00
loop_
_atom_site_label
_atom_site_type_symbol
_atom_site_fract_x
_atom_site_fract_y
_atom_site_fract_z
Dy1 Dy 0.0864 0.2500 0.4468
Dy2 Dy 0.1114 0.7500 0.9365
Dy3 Dy 0.2529 0.2500 0.7503
Dy4 Dy 0.3896 0.7500 0.5643
Dy5 Dy 0.4120 0.2500 0.0541
Re1 Re 0.2471 0.5359 0.2507
O1 O 0.0396 0.7500 0.2487
O2 O 0.0710 0.2500 0.2509
O3 O 0.1681 0.0025 0.0856
O4 O 0.1713 0.5019 0.5962
O5 O 0.3270 0.0029 0.4156
O6 O 0.3308 0.5018 0.9049
O7 O 0.4231 0.2500 0.2498
O8 O 0.4554 0.7500 0.2536
```

=====

Record 4
Diffraction record for Dy3ReO7. The PXRD pattern is calculated, not measured: it uses a structure optimized by DFT (PBE) and Cu Kα (λ = 1.5418 Å).

The 12 most intense peaks (10° ≤ 2θ ≤ 80°), by angle:
2θ (°)  d_spacing  Rel. int.
18.83  4.714  1
29.36  3.042  100
34.03  2.635  36
39.16  2.300  1
43.83  2.066  2
48.89  1.863  43
53.65  1.708  1
58.06  1.589  40
60.91  1.521  9
71.60  1.318  4
71.73  1.316  2
79.25  1.209  15

Structural model:
```
data_Dy3ReO7
_space_group_name_H-M_alt 'C 2 2 21'
_space_group_IT_number 20
_space_group_name_Hall 'C 2c 2'
_cell_length_a 7.4528
_cell_length_b 10.5269
_cell_length_c 7.4574
_cell_angle_alpha 90.00
_cell_angle_beta 90.00
_cell_angle_gamma 90.00
loop_
_atom_site_label
_atom_site_type_symbol
_atom_site_fract_x
_atom_site_fract_y
_atom_site_fract_z
Dy1 Dy 0.0192 0.0000 0.0000
Dy2 Dy 0.2326 0.2670 0.7503
Re1 Re 0.0016 0.5000 0.0000
O1 O 0.0000 0.1301 0.2500
O2 O 0.0000 0.1360 0.7500
O3 O 0.0000 0.4292 0.7500
O4 O 0.1907 0.3739 0.0303
O5 O 0.2014 0.3779 0.4713
```

=====

Record 5
Diffraction record for Dy5Re2O12. The PXRD pattern is calculated, not measured: it uses a structure optimized by DFT (PBE) and Cu Kα (λ = 1.5418 Å).

The 12 most intense peaks (10° ≤ 2θ ≤ 80°), by angle:
2θ (°)  d_spacing  Rel. int.
24.70  3.605  20
27.51  3.243  97
28.36  3.147  100
30.14  2.965  18
32.71  2.738  37
32.82  2.729  39
33.99  2.637  23
35.09  2.557  21
40.49  2.228  28
45.91  1.977  21
48.10  1.892  25
56.20  1.637  27

Structural model:
```
data_Dy5Re2O12
_space_group_name_H-M_alt 'C 1 2/m 1'
_space_group_IT_number 12
_space_group_name_Hall '-C 2y'
_cell_length_a 12.4599
_cell_length_b 5.6687
_cell_length_c 7.5661
_cell_angle_alpha 90.00
_cell_angle_beta 107.86
_cell_angle_gamma 90.00
loop_
_atom_site_label
_atom_site_type_symbol
_atom_site_fract_x
_atom_site_fract_y
_atom_site_fract_z
Dy1 Dy 0.0000 0.0000 0.0000
Dy2 Dy 0.1859 0.5000 0.3232
Dy3 Dy 0.1963 0.5000 0.8573
Re1 Re 0.0000 0.2138 0.5000
O1 O 0.9996 0.5000 0.3241
O2 O 0.0030 0.0000 0.2956
O3 O 0.1539 0.2514 0.0726
O4 O 0.1653 0.2547 0.5844
```